Theoretical X-ray powder pattern of LiCu3O3 for λ = 1.5418 Å (Cu Kα), from a cell relaxed with GGA-PBE.
No peak broadening, texture or thermal motion is included.

Crystal structure
```
data_LiCu3O3
_symmetry_space_group_name_H-M 'I 4/m m m'
_symmetry_Int_Tables_number 139
_symmetry_space_group_name_Hall '-I 4 2'
_cell_length_a 3.9659
_cell_length_b 3.9659
_cell_length_c 36.8118
_cell_angle_alpha 90.00
_cell_angle_beta 90.00
_cell_angle_gamma 90.00
loop_
_atom_site_label
_atom_site_type_symbol
_atom_site_fract_x
_atom_site_fract_y
_atom_site_fract_z
Li1 Li 0.0000 0.0000 0.0607
Li2 Li 0.0000 0.0000 0.3110
Cu1 Cu 0.0000 0.0000 0.1766
Cu2 Cu 0.0000 0.0000 0.4271
Cu3 Cu 0.0000 0.5000 0.0000
Cu4 Cu 0.0000 0.5000 0.1249
Cu5 Cu 0.0000 0.5000 0.2500
O1 O 0.0000 0.0000 0.0000
O2 O 0.0000 0.0000 0.2537
O3 O 0.0000 0.0000 0.5000
O4 O 0.0000 0.5000 0.0744
O5 O 0.0000 0.5000 0.1756
```

Top 10 peaks for 10° ≤ 2θ ≤ 90°, low angle first:
2θ 19.29, I = 20, hkl 0 0 8
2θ 23.58, I = 18, hkl 1 0 3
2θ 25.51, I = 21, hkl 1 0 5
2θ 31.91, I = 20, hkl 1 1 0
2θ 37.56, I = 100, hkl 1 1 8
2θ 39.14, I = 42, hkl 0 0 16
2θ 45.76, I = 73, hkl 2 0 0
2θ 61.76, I = 36, hkl 2 0 16
2θ 66.71, I = 20, hkl 2 2 0
2θ 79.15, I = 22, hkl 3 1 8

Theoretical X-ray powder pattern of Li7Cu6O12 for λ = 1.5418 Å (Cu Kα), from a cell relaxed with GGA-PBE.
No peak broadening, texture or thermal motion is included.

Crystal structure
```
data_Li7Cu6O12
_symmetry_space_group_name_H-M 'P -1'
_symmetry_Int_Tables_number 2
_cell_length_a 5.2129
_cell_length_b 6.8567
_cell_length_c 8.2565
_cell_angle_alpha 101.46
_cell_angle_beta 105.42
_cell_angle_gamma 99.80
loop_
_symmetry_equiv_pos_as_xyz
'x,y,z'
'-x,-y,-z'
loop_
_atom_site_label
_atom_site_type_symbol
_atom_site_fract_x
_atom_site_fract_y
_atom_site_fract_z
Li1 Li 0.0000 0.0000 0.0000
Li2 Li 0.0009 0.0120 0.3315
Li3 Li 0.0909 0.3804 0.9129
Li4 Li 0.0912 0.3820 0.5799
Cu1 Cu 0.4507 0.7659 0.8692
Cu2 Cu 0.4588 0.7706 0.2067
Cu3 Cu 0.4591 0.7711 0.5374
O1 O 0.1997 0.7060 0.3177
O2 O 0.2027 0.6847 0.6431
O3 O 0.2046 0.6811 0.9854
O4 O 0.2799 0.1612 0.5733
O5 O 0.2858 0.1633 0.9084
O6 O 0.2965 0.1449 0.2389
```

Top 10 peaks for 10° ≤ 2θ ≤ 90°, low angle first:
2θ 18.17, I = 100, hkl 1 0 0
2θ 19.97, I = 21, hkl 1 -1 0
2θ 27.31, I = 74, hkl 0 2 0
2θ 29.09, I = 66, hkl 1 -2 0
2θ 34.99, I = 15, hkl 1 1 -3
2θ 41.00, I = 14, hkl 0 1 3
2θ 41.23, I = 14, hkl 1 -3 0
2θ 44.70, I = 45, hkl 1 0 3
2θ 57.60, I = 12, hkl -3 1 3
2θ 62.71, I = 15, hkl 0 3 3

Theoretical X-ray powder pattern of Li2CuPO4 for λ = 1.5418 Å (Cu Kα), from a cell relaxed with GGA-PBE.
No peak broadening, texture or thermal motion is included.

Crystal structure
```
data_Li2CuPO4
_symmetry_space_group_name_H-M 'P 1 m 1'
_symmetry_Int_Tables_number 6
_cell_length_a 5.1322
_cell_length_b 6.2036
_cell_length_c 10.8591
_cell_angle_alpha 90.00
_cell_angle_beta 90.64
_cell_angle_gamma 90.00
loop_
_symmetry_equiv_pos_as_xyz
'x,y,z'
'x,-y,z'
loop_
_atom_site_label
_atom_site_type_symbol
_atom_site_fract_x
_atom_site_fract_y
_atom_site_fract_z
Li1 Li 0.0000 0.0000 0.0000
Li2 Li 0.0021 0.2487 0.2308
Li3 Li 0.1088 0.0000 0.4960
Li4 Li 0.5012 0.2561 0.4103
Li5 Li 0.6007 0.2529 0.9112
Cu1 Cu 0.0552 0.3034 0.7409
Cu2 Cu 0.5562 0.5000 0.1797
Cu3 Cu 0.5792 0.5000 0.6921
P1 P 0.0080 0.5000 0.4663
P2 P 0.1131 0.5000 0.9871
P3 P 0.4937 0.0000 0.1576
P4 P 0.6144 0.0000 0.6560
O1 O 0.0344 0.5000 0.1240
O2 O 0.1070 0.2921 0.4009
O3 O 0.1333 0.5000 0.5982
O4 O 0.1911 0.0000 0.1582
O5 O 0.4148 0.5000 0.9767
O6 O 0.4981 0.0000 0.5239
O7 O 0.5204 0.1991 0.7323
O8 O 0.5976 0.0000 0.0243
O9 O 0.6019 0.1997 0.2306
O10 O 0.7061 0.5000 0.4711
O11 O 0.9185 0.0000 0.6510
O12 O 0.9984 0.2912 0.9239
```

Top 10 peaks for 10° ≤ 2θ ≤ 90°, low angle first:
2θ 14.28, I = 74, hkl 0 1 0
2θ 16.33, I = 100, hkl 0 0 2
2θ 19.05, I = 28, hkl 1 0 -1
2θ 23.72, I = 29, hkl 1 0 -2
2θ 33.00, I = 55, hkl 0 0 4
2θ 33.27, I = 54, hkl 0 2 2
2θ 33.75, I = 47, hkl 1 2 0
2θ 34.97, I = 88, hkl 2 0 0
2θ 37.63, I = 24, hkl 1 2 -2
2θ 59.10, I = 32, hkl 0 2 6

Theoretical X-ray powder pattern of LiCu2PO4 for λ = 1.5418 Å (Cu Kα), from a cell relaxed with GGA-PBE.
No peak broadening, texture or thermal motion is included.

Crystal structure
```
data_LiCu2PO4
_symmetry_space_group_name_H-M 'I -4 2 m'
_symmetry_Int_Tables_number 121
_symmetry_space_group_name_Hall 'I -4 2'
_cell_length_a 4.3972
_cell_length_b 4.3972
_cell_length_c 9.0952
_cell_angle_alpha 90.00
_cell_angle_beta 90.00
_cell_angle_gamma 90.00
loop_
_atom_site_label
_atom_site_type_symbol
_atom_site_fract_x
_atom_site_fract_y
_atom_site_fract_z
Li1 Li 0.0000 0.0000 0.0000
Cu1 Cu 0.0000 0.5000 0.2500
P1 P 0.0000 0.0000 0.5000
O1 O 0.2071 0.2071 0.4032
```

Top 10 peaks for 10° ≤ 2θ ≤ 90°, low angle first:
2θ 19.52, I = 18, hkl 0 0 2
2θ 22.46, I = 17, hkl 1 0 1
2θ 28.71, I = 23, hkl 1 1 0
2θ 34.96, I = 100, hkl 1 1 2
2θ 41.05, I = 13, hkl 2 0 0
2θ 45.84, I = 20, hkl 2 0 2
2θ 49.67, I = 13, hkl 1 1 4
2θ 58.39, I = 27, hkl 2 0 4
2θ 59.46, I = 13, hkl 2 2 0
2θ 70.87, I = 20, hkl 3 1 2

Which formula does entry 1 have?
LiCu3O3

Copy entry 4 word for word.
Theoretical X-ray powder pattern of LiCu2PO4 for λ = 1.5418 Å (Cu Kα), from a cell relaxed with GGA-PBE.
No peak broadening, texture or thermal motion is included.

Crystal structure
```
data_LiCu2PO4
_symmetry_space_group_name_H-M 'I -4 2 m'
_symmetry_Int_Tables_number 121
_symmetry_space_group_name_Hall 'I -4 2'
_cell_length_a 4.3972
_cell_length_b 4.3972
_cell_length_c 9.0952
_cell_angle_alpha 90.00
_cell_angle_beta 90.00
_cell_angle_gamma 90.00
loop_
_atom_site_label
_atom_site_type_symbol
_atom_site_fract_x
_atom_site_fract_y
_atom_site_fract_z
Li1 Li 0.0000 0.0000 0.0000
Cu1 Cu 0.0000 0.5000 0.2500
P1 P 0.0000 0.0000 0.5000
O1 O 0.2071 0.2071 0.4032
```

Top 10 peaks for 10° ≤ 2θ ≤ 90°, low angle first:
2θ 19.52, I = 18, hkl 0 0 2
2θ 22.46, I = 17, hkl 1 0 1
2θ 28.71, I = 23, hkl 1 1 0
2θ 34.96, I = 100, hkl 1 1 2
2θ 41.05, I = 13, hkl 2 0 0
2θ 45.84, I = 20, hkl 2 0 2
2θ 49.67, I = 13, hkl 1 1 4
2θ 58.39, I = 27, hkl 2 0 4
2θ 59.46, I = 13, hkl 2 2 0
2θ 70.87, I = 20, hkl 3 1 2